# 1
For RbCaPtF6, the PBE geometry in Alexandria gives the simulated powder X-ray diffraction pattern in this record (Cu Kα (weighted mean of Kα1 and Kα2)).
Lines closer than 0.1° are merged.

Cell and atoms:
```
data_RbCaPtF6
_chemical_formula_sum 'Rb1 Ca1 Pt1 F6'
_cell_length_a 5.830
_cell_length_b 5.845
_cell_length_c 5.922
_cell_angle_alpha 90.45
_cell_angle_beta 90.51
_cell_angle_gamma 117.64
_symmetry_space_group_name_H-M 'P 1'
_symmetry_Int_Tables_number 1
loop_
_symmetry_equiv_pos_as_xyz
'x,y,z'
loop_
_atom_site_label
_atom_site_type_symbol
_atom_site_fract_x
_atom_site_fract_y
_atom_site_fract_z
Rb1 Rb 0.000 0.000 0.000
Ca1 Ca 0.329 0.672 0.500
Pt1 Pt 0.669 0.330 0.501
F1 F 0.000 0.622 0.281
F2 F 0.380 0.339 0.320
F3 F 0.380 0.998 0.722
F4 F 0.650 0.027 0.320
F5 F 0.660 0.618 0.682
F6 F 0.974 0.350 0.682
```

Main lines, low angle first (2θ from 10° to 80°):
(hkl), 2theta, d_spacing, I_rel
0 0 1, 14.96, 5.921, 77
1 0 0, 17.15, 5.171, 62
1 -1 0, 17.76, 4.994, 31
1 0 -1, 22.68, 3.921, 100
0 1 1, 22.99, 3.869, 95
1 -1 1, 23.30, 3.818, 92
2 -1 0, 30.66, 2.916, 53
-1 2 2, 43.74, 2.070, 48



# 2
For RbCaF2, the PBE geometry in Alexandria gives the simulated powder X-ray diffraction pattern in this record (Cu Kα (weighted mean of Kα1 and Kα2)).
Lines closer than 0.1° are merged.

Cell and atoms:
```
data_RbCaF2
_chemical_formula_sum 'Rb4 Ca4 F8'
_cell_length_a 6.353
_cell_length_b 6.353
_cell_length_c 11.600
_cell_angle_alpha 90.00
_cell_angle_beta 90.00
_cell_angle_gamma 90.00
_symmetry_space_group_name_H-M 'I -4 2 d'
_symmetry_Int_Tables_number 122
_symmetry_space_group_name_Hall 'I -4 2bw'
loop_
_atom_site_label
_atom_site_type_symbol
_atom_site_fract_x
_atom_site_fract_y
_atom_site_fract_z
Rb1 Rb 0.000 0.000 0.000
Ca1 Ca 0.000 0.000 0.500
F1 F 0.095 0.250 0.625
```

Main lines, low angle first (2θ from 10° to 80°):
(hkl), 2theta, d_spacing, I_rel
1 1 2, 25.07, 3.552, 100
1 0 3, 27.00, 3.303, 11
2 0 0, 28.09, 3.177, 29
2 1 1, 32.44, 2.760, 15
2 0 4, 42.20, 2.142, 27
3 1 2, 47.92, 1.898, 31
2 2 4, 51.46, 1.776, 28
3 1 6, 67.20, 1.393, 16



# 3
For Rb4Ca3F10, the PBE geometry in Alexandria gives the simulated powder X-ray diffraction pattern in this record (Cu Kα (weighted mean of Kα1 and Kα2)).
Lines closer than 0.1° are merged.

Cell and atoms:
```
data_Rb4Ca3F10
_chemical_formula_sum 'Rb8 Ca6 F20'
_cell_length_a 4.507
_cell_length_b 4.507
_cell_length_c 32.241
_cell_angle_alpha 90.00
_cell_angle_beta 90.00
_cell_angle_gamma 90.00
_symmetry_space_group_name_H-M 'I 4/m m m'
_symmetry_Int_Tables_number 139
_symmetry_space_group_name_Hall '-I 4 2'
loop_
_atom_site_label
_atom_site_type_symbol
_atom_site_fract_x
_atom_site_fract_y
_atom_site_fract_z
Rb1 Rb 0.000 0.000 0.068
Rb2 Rb 0.000 0.000 0.204
Ca1 Ca 0.000 0.000 0.360
Ca2 Ca 0.000 0.000 0.500
F1 F 0.000 0.000 0.289
F2 F 0.000 0.000 0.430
F3 F 0.000 0.500 0.000
F4 F 0.000 0.500 0.140
```

Main lines, low angle first (2θ from 10° to 80°):
(hkl), 2theta, d_spacing, I_rel
1 0 7, 27.69, 3.221, 100
1 1 0, 28.00, 3.187, 65
1 1 8, 35.92, 2.500, 38
0 0 14, 39.12, 2.303, 24
2 0 0, 40.01, 2.254, 57
1 1 14, 48.79, 1.867, 18
2 1 7, 49.35, 1.847, 40
2 0 14, 57.19, 1.611, 28



# 4
For Rb2CaSbF6, the PBE geometry in Alexandria gives the simulated powder X-ray diffraction pattern in this record (Cu Kα (weighted mean of Kα1 and Kα2)).
Lines closer than 0.1° are merged.

Cell and atoms:
```
data_Rb2CaSbF6
_chemical_formula_sum 'Rb4 Ca2 Sb2 F12'
_cell_length_a 6.723
_cell_length_b 6.723
_cell_length_c 8.971
_cell_angle_alpha 90.00
_cell_angle_beta 90.00
_cell_angle_gamma 90.00
_symmetry_space_group_name_H-M 'I 4/m m m'
_symmetry_Int_Tables_number 139
_symmetry_space_group_name_Hall '-I 4 2'
loop_
_atom_site_label
_atom_site_type_symbol
_atom_site_fract_x
_atom_site_fract_y
_atom_site_fract_z
Rb1 Rb 0.000 0.500 0.250
Ca1 Ca 0.000 0.000 0.000
Sb1 Sb 0.000 0.000 0.500
F1 F 0.000 0.000 0.253
F2 F 0.236 0.236 0.000
```

Main lines, low angle first (2θ from 10° to 80°):
(hkl), 2theta, d_spacing, I_rel
1 0 1, 16.48, 5.380, 19
2 0 0, 26.52, 3.361, 54
1 1 2, 27.34, 3.262, 100
2 2 0, 37.85, 2.377, 48
0 0 4, 40.21, 2.243, 20
3 1 2, 47.32, 1.921, 43
2 0 4, 48.82, 1.866, 20
2 2 4, 56.41, 1.631, 27



# 5
For Rb3SrCa2F9, the PBE geometry in Alexandria gives the simulated powder X-ray diffraction pattern in this record (Cu Kα (weighted mean of Kα1 and Kα2)).
Lines closer than 0.1° are merged.

Cell and atoms:
```
data_Rb3SrCa2F9
_chemical_formula_sum 'Rb3 Sr1 Ca2 F9'
_cell_length_a 6.4995
_cell_length_b 6.4995
_cell_length_c 7.9951
_cell_angle_alpha 90.00
_cell_angle_beta 90.00
_cell_angle_gamma 120.00
_symmetry_space_group_name_H-M 'P -3 m 1'
_symmetry_Int_Tables_number 164
_symmetry_space_group_name_Hall '-P 3 2"'
loop_
_atom_site_label
_atom_site_type_symbol
_atom_site_fract_x
_atom_site_fract_y
_atom_site_fract_z
Rb1 Rb 0.0000 0.0000 0.0000
Rb2 Rb 0.3333 0.6667 0.6746
Sr1 Sr 0.0000 0.0000 0.5000
Ca1 Ca 0.3333 0.6667 0.1602
F1 F 0.0000 0.5000 0.0000
F2 F 0.1712 0.3423 0.3236
```

Main lines, low angle first (2θ from 10° to 80°):
(hkl), 2theta, d_spacing, I_rel
1 1 0, 27.40, 3.255, 100
0 2 1, 33.76, 2.655, 15
2 0 2, 39.14, 2.301, 50
1 0 4, 48.32, 1.884, 10
3 0 0, 48.49, 1.877, 31
0 2 4, 56.47, 1.630, 15
2 2 0, 56.65, 1.625, 15
4 1 0, 77.73, 1.229, 11



# 6
For RbCa2TlF8, the PBE geometry in Alexandria gives the simulated powder X-ray diffraction pattern in this record (Cu Kα (weighted mean of Kα1 and Kα2)).
Lines closer than 0.1° are merged.

Cell and atoms:
```
data_RbCa2TlF8
_chemical_formula_sum 'Rb1 Ca2 Tl1 F8'
_cell_length_a 4.140
_cell_length_b 7.826
_cell_length_c 5.765
_cell_angle_alpha 90.00
_cell_angle_beta 90.17
_cell_angle_gamma 90.00
_symmetry_space_group_name_H-M 'P 1 2/m 1'
_symmetry_Int_Tables_number 10
loop_
_symmetry_equiv_pos_as_xyz
'x,y,z'
'-x,-y,-z'
'-x,y,-z'
'x,-y,z'
loop_
_atom_site_label
_atom_site_type_symbol
_atom_site_fract_x
_atom_site_fract_y
_atom_site_fract_z
Rb1 Rb 0.000 0.000 0.000
Ca1 Ca 0.500 0.246 0.500
Tl1 Tl 0.000 0.500 0.000
F1 F 0.001 0.291 0.734
F2 F 0.499 0.000 0.714
F3 F 0.499 0.500 0.232
```

Main lines, low angle first (2θ from 10° to 80°):
(hkl), 2theta, d_spacing, I_rel
0 1 0, 11.31, 7.826, 42
0 0 1, 15.37, 5.765, 43
1 0 1, 26.50, 3.363, 100
0 2 1, 27.55, 3.238, 94
1 2 -1, 35.19, 2.550, 32
1 2 2, 44.77, 2.024, 90
1 0 -3, 52.46, 1.744, 39
1 4 1, 54.24, 1.691, 27



# 7
For Rb2CaYF6, the PBE geometry in Alexandria gives the simulated powder X-ray diffraction pattern in this record (Cu Kα (weighted mean of Kα1 and Kα2)).
Lines closer than 0.1° are merged.

Cell and atoms:
```
data_Rb2CaYF6
_chemical_formula_sum 'Rb4 Ca2 Y2 F12'
_cell_length_a 6.647
_cell_length_b 9.090
_cell_length_c 6.346
_cell_angle_alpha 90.00
_cell_angle_beta 90.00
_cell_angle_gamma 90.00
_symmetry_space_group_name_H-M 'P m m n'
_symmetry_Int_Tables_number 59
loop_
_symmetry_equiv_pos_as_xyz
'x,y,z'
'-x,-y,-z'
'-x+1/2,-y+1/2,z'
'x+1/2,y+1/2,-z'
'x+1/2,-y,-z'
'-x+1/2,y,z'
'-x,y+1/2,-z'
'x,-y+1/2,z'
loop_
_atom_site_label
_atom_site_type_symbol
_atom_site_fract_x
_atom_site_fract_y
_atom_site_fract_z
Rb1 Rb 0.250 0.011 0.224
Ca1 Ca 0.250 0.250 0.733
Y1 Y 0.250 0.750 0.737
F1 F 0.003 0.750 0.003
F2 F 0.043 0.250 0.442
F3 F 0.250 0.504 0.758
```

Main lines, low angle first (2θ from 10° to 80°):
(hkl), 2theta, d_spacing, I_rel
2 0 0, 26.82, 3.324, 30
1 2 1, 27.62, 3.230, 100
0 0 2, 28.12, 3.173, 25
2 0 2, 39.25, 2.295, 45
0 4 0, 39.66, 2.272, 24
3 2 1, 47.87, 1.900, 24
1 2 3, 49.46, 1.843, 18
2 4 2, 57.03, 1.615, 27



# 8
For RbCaYF6, the PBE geometry in Alexandria gives the simulated powder X-ray diffraction pattern in this record (Cu Kα (weighted mean of Kα1 and Kα2)).
Lines closer than 0.1° are merged.

Cell and atoms:
```
data_RbCaYF6
_chemical_formula_sum 'Rb4 Ca4 Y4 F24'
_cell_length_a 8.131
_cell_length_b 8.378
_cell_length_c 11.899
_cell_angle_alpha 90.00
_cell_angle_beta 90.00
_cell_angle_gamma 90.00
_symmetry_space_group_name_H-M 'I m m a'
_symmetry_Int_Tables_number 74
_symmetry_space_group_name_Hall '-I 2b 2'
loop_
_atom_site_label
_atom_site_type_symbol
_atom_site_fract_x
_atom_site_fract_y
_atom_site_fract_z
Rb1 Rb 0.000 0.250 0.053
Ca1 Ca 0.250 0.250 0.750
Y1 Y 0.000 0.000 0.500
F1 F 0.000 0.250 0.439
F2 F 0.000 0.250 0.825
F3 F 0.197 0.060 0.617
```

Main lines, low angle first (2θ from 10° to 80°):
(hkl), 2theta, d_spacing, I_rel
0 0 2, 14.89, 5.949, 41
0 1 3, 24.84, 3.585, 20
1 2 1, 25.05, 3.554, 100
2 1 1, 25.48, 3.496, 17
2 0 2, 26.56, 3.357, 51
3 2 1, 40.34, 2.236, 19
2 2 4, 43.45, 2.083, 17
3 2 3, 45.97, 1.974, 19